# TmInAu2
Theoretical powder X-ray diffraction pattern, Cu Kα (weighted mean of Kα1 and Kα2). Input: DFT lattice parameters and positions (PBE).

Main lines, low angle first (2θ from 15° to 90°):
| 2θ/deg | I/Imax | hkl |
| --- | --- | --- |
| 22.11 | 1 | 1 1 1 |
| 25.58 | 3 | 2 0 0 |
| 36.49 | 100 | 2 2 0 |
| 45.10 | 1 | 2 2 2 |
| 52.57 | 18 | 4 0 0 |
| 59.35 | 1 | 4 2 0 |
| 65.69 | 36 | 4 2 2 |
| 77.55 | 11 | 4 4 0 |
| 83.25 | 1 | 6 0 0 |
| 88.88 | 17 | 6 2 0 |

Structural model:
```
data_TmInAu2
_chemical_formula_sum 'Tm4 In4 Au8'
_cell_length_a 6.964
_cell_length_b 6.964
_cell_length_c 6.964
_cell_angle_alpha 90.00
_cell_angle_beta 90.00
_cell_angle_gamma 90.00
_symmetry_space_group_name_H-M 'F m -3 m'
_symmetry_Int_Tables_number 225
_symmetry_space_group_name_Hall '-F 4 2 3'
loop_
_atom_site_label
_atom_site_type_symbol
_atom_site_fract_x
_atom_site_fract_y
_atom_site_fract_z
Tm1 Tm 0.000 0.000 0.000
In1 In 0.000 0.000 0.500
Au1 Au 0.250 0.250 0.250
```